# 1
Calculated powder diffraction line list of Mg2CdSn2 for Cu Kα (weighted mean of Kα1 and Kα2), from a DFT-relaxed cell (GGA-PBE, Alexandria).
Neutral-atom scattering factors, no anomalous dispersion.

Structural model:
a b c (Å): 5.389 13.520 3.334
angles (deg): 90.00 90.00 90.00
Space group Cmmm (No. 65)
Asymmetric unit:
Mg1 0.000 0.182 0.000 x4
Cd1 0.000 0.000 0.500 x2
Sn1 0.000 0.377 0.500 x4

Largest 10 diffraction maxima, sorted by position, 2θ from 10° to 80°:
Position (°2θ), intensity, h k l
13.1, 218, 0 2 0
25.8, 644, 1 3 0
26.7, 522, 0 0 1
33.3, 536, 2 0 0
37.2, 552, 1 5 0
37.5, 1000, 1 3 1
43.2, 294, 2 0 1
46.4, 330, 1 5 1
62.2, 225, 3 3 1
71.8, 231, 2 8 1

---

# 2
Calculated powder diffraction line list of Mg17Cd11Sn for Cu Kα (weighted mean of Kα1 and Kα2), from a DFT-relaxed cell (GGA-PBE, Alexandria).
Neutral-atom scattering factors, no anomalous dispersion.

Structural model:
a b c (Å): 10.537 15.220 9.582
angles (deg): 90.00 122.32 90.00
Space group Cm (No. 8)
Asymmetric unit:
Mg1 0.000 0.000 0.000 x2
Mg2 0.004 0.320 0.678 x4
Mg3 0.016 0.342 0.078 x4
Mg4 0.116 0.154 0.275 x4
Mg5 0.168 0.500 0.655 x2
Mg6 0.177 0.500 0.328 x2
Mg7 0.185 0.199 0.989 x4
Mg8 0.218 0.139 0.674 x4
Mg9 0.267 0.000 0.952 x2
Mg10 0.374 0.297 0.363 x4
Mg11 0.495 0.500 0.404 x2
Cd1 0.168 0.308 0.488 x4
Cd2 0.286 0.402 0.080 x4
Cd3 0.305 0.000 0.487 x2
Cd4 0.353 0.307 0.864 x4
Cd5 0.391 0.097 0.281 x4
Cd6 0.455 0.405 0.675 x4
Sn1 0.492 0.000 0.851 x2

Largest 10 diffraction maxima, sorted by position, 2θ from 10° to 80°:
Position (°2θ), intensity, h k l
19.2, 466, 1 1 1
19.5, 466, 1 1 -2
20.2, 1000, 1 3 0
20.5, 576, 2 2 -1
34.0, 463, 1 3 -3
36.1, 693, 4 0 -3
37.9, 578, 3 1 1
38.6, 505, 3 1 -4
39.5, 806, 3 5 -1
39.6, 538, 3 5 -2

---

# 3
Calculated powder diffraction line list of MgCd14Sn for Cu Kα (weighted mean of Kα1 and Kα2), from a DFT-relaxed cell (GGA-PBE, Alexandria).
Neutral-atom scattering factors, no anomalous dispersion.

Structural model:
a b c (Å): 10.392 6.894 10.366
angles (deg): 90.00 90.00 90.00
Space group Amm2 (No. 38)
Asymmetric unit:
Mg1 0.000 0.000 0.000 x2
Cd1 0.000 0.231 0.740 x4
Cd2 0.250 0.000 0.834 x4
Cd3 0.254 0.236 0.090 x8
Cd4 0.264 0.000 0.347 x4
Cd5 0.500 0.000 0.184 x2
Cd6 0.500 0.000 0.673 x2
Cd7 0.500 0.236 0.929 x4
Sn1 0.000 0.000 0.476 x2

Largest 10 diffraction maxima, sorted by position, 2θ from 10° to 80°:
Position (°2θ), intensity, h k l
31.2, 172, 0 2 2
32.4, 480, 1 2 2
34.5, 541, 4 0 0
35.7, 1000, 2 2 2
38.8, 571, 2 0 4
40.8, 271, 3 2 2
59.9, 169, 0 2 6
62.6, 156, 6 2 2
67.7, 193, 2 4 4
71.0, 197, 4 2 6

---

# 4
Calculated powder diffraction line list of SrMg3Cd2 for Cu Kα (weighted mean of Kα1 and Kα2), from a DFT-relaxed cell (GGA-PBE, Alexandria).
Neutral-atom scattering factors, no anomalous dispersion.

Structural model:
a b c (Å): 10.7963 10.7963 4.7748
angles (deg): 90.00 90.00 120.00
Space group P6/mmm (No. 191)
Asymmetric unit:
Sr1 0.0000 0.0000 0.0000 x1
Sr2 0.3333 0.6667 0.5000 x2
Mg1 0.0000 0.3007 0.5000 x6
Mg2 0.0000 0.5000 0.0000 x3
Cd1 0.1900 0.3800 0.0000 x6

Largest 10 diffraction maxima, sorted by position, 2θ from 10° to 80°:
Position (°2θ), intensity, h k l
18.6, 355, 0 0 1
19.0, 279, 2 0 0
25.2, 288, 2 1 0
31.5, 1000, 2 1 1
33.2, 589, 2 2 0
34.4, 455, 3 0 1
37.7, 306, 0 0 2
38.3, 418, 2 2 1
51.1, 336, 2 2 2
52.6, 329, 5 0 1

---

# 5
Calculated powder diffraction line list of Sr3MgCd4 for Cu Kα (weighted mean of Kα1 and Kα2), from a DFT-relaxed cell (GGA-PBE, Alexandria).
Neutral-atom scattering factors, no anomalous dispersion.

Structural model:
a b c (Å): 3.954 3.954 15.633
angles (deg): 90.00 90.00 90.00
Space group P4/mmm (No. 123)
Asymmetric unit:
Sr1 0.000 0.000 0.000 x1
Sr2 0.000 0.000 0.267 x2
Mg1 0.000 0.000 0.500 x1
Cd1 0.500 0.500 0.134 x2
Cd2 0.500 0.500 0.403 x2

Largest 10 diffraction maxima, sorted by position, 2θ from 10° to 80°:
Position (°2θ), intensity, h k l
28.3, 185, 1 0 3
32.0, 628, 1 1 0
32.2, 1000, 1 0 4
45.9, 225, 2 0 0
52.4, 129, 1 1 7
57.2, 371, 2 1 4
57.5, 91, 1 1 8
70.4, 94, 1 0 11
76.1, 97, 3 1 0
76.2, 78, 3 0 4

---

# 6
Calculated powder diffraction line list of Sr3Mg4Cd4 for Cu Kα (weighted mean of Kα1 and Kα2), from a DFT-relaxed cell (GGA-PBE, Alexandria).
Neutral-atom scattering factors, no anomalous dispersion.

Structural model:
a b c (Å): 8.782 8.782 8.782
angles (deg): 90.00 90.00 90.00
Space group I-43m (No. 217)
Asymmetric unit:
Sr1 0.000 0.000 0.500 x6
Mg1 0.126 0.126 0.126 x8
Cd1 0.196 0.196 0.804 x8

Largest 10 diffraction maxima, sorted by position, 2θ from 10° to 80°:
Position (°2θ), intensity, h k l
24.8, 580, 2 1 1
28.8, 1000, 2 2 0
32.2, 375, 3 1 0
38.4, 234, 3 2 1
43.7, 471, 4 1 1
48.6, 190, 3 3 2
50.9, 182, 4 2 2
61.6, 150, 5 3 0
63.6, 135, 6 0 0
65.5, 166, 6 1 1

---

# 7
Calculated powder diffraction line list of SrMgCd11 for Cu Kα (weighted mean of Kα1 and Kα2), from a DFT-relaxed cell (GGA-PBE, Alexandria).
Neutral-atom scattering factors, no anomalous dispersion.

Structural model:
a b c (Å): 5.990 14.299 7.773
angles (deg): 90.00 112.47 90.00
Space group C2/m (No. 12)
Asymmetric unit:
Sr1 0.000 0.000 0.000 x2
Mg1 0.000 0.500 0.500 x2
Cd1 0.000 0.000 0.500 x2
Cd2 0.104 0.392 0.217 x8
Cd3 0.181 0.176 0.355 x8
Cd4 0.250 0.250 0.000 x4

Largest 10 diffraction maxima, sorted by position, 2θ from 10° to 80°:
Position (°2θ), intensity, h k l
29.8, 365, 2 0 -1
30.4, 691, 1 3 -2
34.8, 1000, 2 2 0
35.2, 830, 1 1 2
35.3, 794, 1 5 0
35.4, 869, 0 4 2
39.2, 897, 2 0 -3
39.6, 568, 1 3 -3
39.7, 399, 0 2 3
56.6, 316, 3 5 -2

---

# 8
Calculated powder diffraction line list of Sr6Mg2Cd for Cu Kα (weighted mean of Kα1 and Kα2), from a DFT-relaxed cell (GGA-PBE, Alexandria).
Neutral-atom scattering factors, no anomalous dispersion.

Structural model:
a b c (Å): 5.898 14.434 17.699
angles (deg): 90.00 90.00 90.00
Space group Fmmm (No. 69)
Asymmetric unit:
Sr1 0.000 0.137 0.000 x8
Sr2 0.000 0.142 0.337 x16
Mg1 0.000 0.000 0.172 x8
Cd1 0.000 0.000 0.500 x4

Largest 10 diffraction maxima, sorted by position, 2θ from 10° to 80°:
Position (°2θ), intensity, h k l
22.2, 130, 1 1 3
24.7, 91, 0 4 0
28.3, 1000, 1 3 3
30.3, 506, 2 0 0
37.9, 117, 1 5 3
39.5, 105, 2 4 0
43.4, 185, 2 0 6
48.9, 113, 2 6 0
49.3, 99, 1 7 3
52.6, 341, 3 3 3

---

# 9
Calculated powder diffraction line list of SrMg4Cd6 for Cu Kα (weighted mean of Kα1 and Kα2), from a DFT-relaxed cell (GGA-PBE, Alexandria).
Neutral-atom scattering factors, no anomalous dispersion.

Structural model:
a b c (Å): 8.0347 8.0347 4.8620
angles (deg): 90.00 90.00 120.00
Space group P-6 (No. 174)
Asymmetric unit:
Sr1 0.0000 0.0000 0.0000 x1
Mg1 0.1277 0.7221 0.5000 x3
Mg2 0.6667 0.3333 0.0000 x1
Cd1 0.0940 0.4787 0.0000 x3
Cd2 0.4107 0.1353 0.5000 x3

Largest 10 diffraction maxima, sorted by position, 2θ from 10° to 80°:
Position (°2θ), intensity, h k l
22.1, 350, 1 1 0
22.3, 412, 1 0 1
31.6, 556, 2 0 1
34.1, 354, 2 1 0
37.0, 322, 0 0 2
38.9, 1000, 2 1 1
51.2, 216, 2 1 2
61.1, 360, 1 4 0
67.9, 180, 2 1 3
73.5, 258, 1 4 2

---

# 10
Calculated powder diffraction line list of Sr6MgCd for Cu Kα (weighted mean of Kα1 and Kα2), from a DFT-relaxed cell (GGA-PBE, Alexandria).
Neutral-atom scattering factors, no anomalous dispersion.

Structural model:
a b c (Å): 5.898 5.898 20.644
angles (deg): 90.00 90.00 90.00
Space group I4/mmm (No. 139)
Asymmetric unit:
Sr1 0.000 0.000 0.249 x4
Sr2 0.000 0.500 0.097 x8
Mg1 0.000 0.000 0.000 x2
Cd1 0.000 0.000 0.500 x2

Largest 10 diffraction maxima, sorted by position, 2θ from 10° to 80°:
Position (°2θ), intensity, h k l
23.0, 109, 1 1 2
25.9, 98, 0 0 6
27.5, 1000, 1 1 4
30.3, 505, 2 0 0
33.8, 123, 1 1 6
40.3, 120, 2 0 6
43.4, 186, 2 2 0
46.8, 95, 2 0 8
52.1, 330, 3 1 4
71.5, 96, 4 2 0

---

# 11
Calculated powder diffraction line list of Sr2Mg12Cd7 for Cu Kα (weighted mean of Kα1 and Kα2), from a DFT-relaxed cell (GGA-PBE, Alexandria).
Neutral-atom scattering factors, no anomalous dispersion.

Structural model:
a b c (Å): 11.7530 11.7530 4.4243
angles (deg): 90.00 90.00 120.00
Space group P-6 (No. 174)
Asymmetric unit:
Sr1 0.0000 0.0000 0.0000 x1
Sr2 0.3333 0.6667 0.5000 x1
Mg1 0.0460 0.7602 0.5000 x3
Mg2 0.1037 0.3810 0.0000 x3
Mg3 0.3864 0.2107 0.0000 x3
Mg4 0.5400 0.1138 0.5000 x3
Cd1 0.0749 0.6090 0.0000 x3
Cd2 0.2450 0.0381 0.5000 x3
Cd3 0.6667 0.3333 0.0000 x1

Largest 10 diffraction maxima, sorted by position, 2θ from 10° to 80°:
Position (°2θ), intensity, h k l
23.1, 1000, 1 2 0
25.2, 350, 1 1 1
26.7, 647, 2 0 1
30.8, 979, 2 1 1
37.8, 514, 3 1 1
40.6, 692, 4 1 0
40.8, 344, 0 0 2
43.8, 356, 2 3 1
47.4, 285, 1 2 2
59.0, 619, 4 1 2

---

# 12
Calculated powder diffraction line list of Sr2Mg3Cd4 for Cu Kα (weighted mean of Kα1 and Kα2), from a DFT-relaxed cell (GGA-PBE, Alexandria).
Neutral-atom scattering factors, no anomalous dispersion.

Structural model:
a b c (Å): 6.052 10.691 15.306
angles (deg): 90.00 90.00 90.00
Space group Fmmm (No. 69)
Asymmetric unit:
Sr1 0.000 0.000 0.140 x8
Mg1 0.000 0.000 0.500 x4
Mg2 0.250 0.250 0.000 x8
Cd1 0.000 0.170 0.334 x16

Largest 10 diffraction maxima, sorted by position, 2θ from 10° to 80°:
Position (°2θ), intensity, h k l
11.6, 246, 0 0 2
23.2, 172, 0 0 4
29.5, 334, 2 0 0
29.7, 358, 1 3 1
34.1, 1000, 1 3 3
35.2, 223, 0 0 6
37.9, 167, 2 0 4
46.6, 139, 2 0 6
51.3, 184, 0 6 0
55.3, 238, 3 3 3